Record 1
Simulated powder X-ray diffraction pattern of Nd5Sm3Hg2 for Cu Kα (λ = 1.5418 Å), from a GGA-PBE-relaxed structure.
Kinematic intensities with the Lorentz-polarization factor, no thermal factor.

Peak list (12 most intense, 2θ from 10° to 80°, by angle)
d/Å  intensity
4.636  25
3.416  52
3.324  23
3.129  66
3.107  100
3.037  24
2.493  32
2.482  31
2.470  35
2.450  81
2.223  24
1.726  30

Structural model:
a b c (Å): 13.921 14.295 6.901
angles (deg): 90.00 90.00 90.00
Space group Ibam (No. 72)
One atom of each set of equivalent atoms:
Nd  0.000  0.000  0.250 [4 per cell]
Nd  0.082  0.181  0.000 [8 per cell]
Nd  0.232  0.000  0.250 [8 per cell]
Sm  0.000  0.500  0.250 [4 per cell]
Sm  0.156  0.275  0.500 [8 per cell]
Hg  0.135  0.377  0.000 [8 per cell]


Record 2
Simulated powder X-ray diffraction pattern of Nd3SmHg7 for Cu Kα (λ = 1.5418 Å), from a GGA-PBE-relaxed structure.
Kinematic intensities with the Lorentz-polarization factor, no thermal factor.

Peak list (12 most intense, 2θ from 10° to 80°, by angle)
d/Å  intensity
3.713  17
3.046  25
2.840  100
2.593  59
2.555  77
2.544  59
2.470  28
2.236  19
2.206  30
1.877  26
1.527  25
1.513  32

Structural model:
a b c (Å): 3.755 25.079 13.235
angles (deg): 90.00 90.00 90.00
Space group Cmcm (No. 63)
One atom of each set of equivalent atoms:
Nd  0.000  0.143  0.072 [8 per cell]
Nd  0.000  0.178  0.750 [4 per cell]
Sm  0.000  0.020  0.750 [4 per cell]
Hg  0.000  0.274  0.079 [8 per cell]
Hg  0.000  0.306  0.750 [4 per cell]
Hg  0.000  0.403  0.114 [8 per cell]
Hg  0.000  0.462  0.591 [8 per cell]


Record 3
Simulated powder X-ray diffraction pattern of NdSm4Hg4 for Cu Kα (λ = 1.5418 Å), from a GGA-PBE-relaxed structure.
Kinematic intensities with the Lorentz-polarization factor, no thermal factor.

Peak list (12 most intense, 2θ from 10° to 80°, by angle)
d/Å  intensity
3.436  26
3.053  100
2.925  46
2.799  79
2.723  48
2.689  17
2.422  93
2.371  71
1.655  27
1.596  30
1.527  35
1.457  26

Structural model:
a b c (Å): 9.654 9.654 5.675
angles (deg): 90.00 90.00 90.00
Space group P4_2/n (No. 86, origin choice 2)
One atom of each set of equivalent atoms:
Nd  0.250  0.250  0.250 [2 per cell]
Sm  0.096  0.838  0.653 [8 per cell]
Hg  0.045  0.145  0.848 [8 per cell]